Computed powder diffraction line list of NdVO3 for a wavelength of 1.5418 Å, from DFT lattice parameters and positions (PBE+U).
Neutral-atom scattering factors, no anomalous dispersion.

Crystal structure
```
data_NdVO3
_space_group_name_H-M_alt 'P n m a'
_space_group_IT_number 62
_cell_length_a 5.7456
_cell_length_b 7.8438
_cell_length_c 5.4916
_cell_angle_alpha 90.00
_cell_angle_beta 90.00
_cell_angle_gamma 90.00
loop_
_space_group_symop_operation_xyz
'x,y,z'
'-x,-y,-z'
'-x+1/2,-y,z+1/2'
'x+1/2,y,-z+1/2'
'x+1/2,-y+1/2,-z+1/2'
'-x+1/2,y+1/2,z+1/2'
'-x,y+1/2,-z'
'x,-y+1/2,z'
loop_
_atom_site_label
_atom_site_type_symbol
_atom_site_fract_x
_atom_site_fract_y
_atom_site_fract_z
Nd1 Nd 0.0600 0.2500 0.0161
V1 V 0.0000 0.0000 0.5000
O1 O 0.0284 0.7500 0.4025
O2 O 0.2025 0.5508 0.7969
```

Top 8 peaks for 15° ≤ 2θ ≤ 90°, sorted by position:
(hkl)	Position (°2θ)	intensity
1 0 1	22.40	22
1 1 1	25.14	18
2 0 0	31.13	20
1 2 1	32.08	100
0 0 2	32.61	24
2 0 2	45.71	21
3 1 1	51.89	17
0 4 2	57.83	34



Computed powder diffraction line list of Li7CoO4F2 for a wavelength of 1.5418 Å, from DFT lattice parameters and positions (PBE+U).
Neutral-atom scattering factors, no anomalous dispersion.

Crystal structure
```
data_Li7CoO4F2
_space_group_name_H-M_alt 'P 1'
_space_group_IT_number 1
_cell_length_a 5.3467
_cell_length_b 5.7168
_cell_length_c 10.2451
_cell_angle_alpha 74.52
_cell_angle_beta 86.07
_cell_angle_gamma 65.22
loop_
_space_group_symop_operation_xyz
'x,y,z'
loop_
_atom_site_label
_atom_site_type_symbol
_atom_site_fract_x
_atom_site_fract_y
_atom_site_fract_z
Li1 Li 0.0000 0.0000 0.0000
Li2 Li 0.9999 0.4161 0.7848
Li3 Li 0.0156 0.3404 0.4638
Li4 Li 0.4328 0.4500 0.9537
Li5 Li 0.4433 0.0485 0.1652
Li6 Li 0.4953 0.0629 0.4676
Li7 Li 0.5032 0.3216 0.6187
Li8 Li 0.5140 0.4028 0.2529
Li9 Li 0.5186 0.0111 0.8439
Li10 Li 0.5375 0.6795 0.3999
Li11 Li 0.9505 0.3833 0.1100
Li12 Li 0.9655 0.7360 0.5498
Li13 Li 0.9695 0.0457 0.6794
Li14 Li 0.9959 0.0670 0.3357
Co1 Co 0.4809 0.7164 0.6704
Co2 Co 0.9806 0.7108 0.2298
O1 O 0.1407 0.9495 0.1814
O2 O 0.2037 0.9443 0.5172
O3 O 0.2301 0.4926 0.1261
O4 O 0.3220 0.4982 0.7583
O5 O 0.6587 0.9417 0.6662
O6 O 0.7117 0.9407 0.3289
O7 O 0.7959 0.4568 0.6039
O8 O 0.8215 0.4652 0.2873
F1 F 0.1655 0.0187 0.8337
F2 F 0.3396 0.4285 0.4448
F3 F 0.6223 0.0444 0.0007
F4 F 0.7976 0.4436 0.9412
```

Top 8 peaks for 15° ≤ 2θ ≤ 90°, sorted by position:
(hkl)	Position (°2θ)	intensity
0 1 0	17.70	64
0 0 2	17.99	70
1 1 1	19.81	80
1 0 -1	20.00	78
1 0 1	20.81	71
0 1 2	21.72	63
1 0 3	33.69	100
-1 1 3	37.20	54



Computed powder diffraction line list of NaMg14FeO16 for a wavelength of 1.5418 Å, from DFT lattice parameters and positions (PBE+U).
Neutral-atom scattering factors, no anomalous dispersion.

Crystal structure
```
data_NaMg14FeO16
_space_group_name_H-M_alt 'P 4/m m m'
_space_group_IT_number 123
_space_group_name_Hall '-P 4 2'
_cell_length_a 8.5485
_cell_length_b 8.5485
_cell_length_c 4.2889
_cell_angle_alpha 90.00
_cell_angle_beta 90.00
_cell_angle_gamma 90.00
loop_
_atom_site_label
_atom_site_type_symbol
_atom_site_fract_x
_atom_site_fract_y
_atom_site_fract_z
Na1 Na 0.0000 0.0000 0.0000
Mg1 Mg 0.0000 0.2452 0.5000
Mg2 Mg 0.0000 0.5000 0.0000
Mg3 Mg 0.2444 0.2444 0.0000
Mg4 Mg 0.2452 0.5000 0.5000
Fe1 Fe 0.5000 0.5000 0.0000
O1 O 0.0000 0.0000 0.5000
O2 O 0.0000 0.2660 0.0000
O3 O 0.0000 0.5000 0.5000
O4 O 0.2523 0.2523 0.5000
O5 O 0.2607 0.5000 0.0000
O6 O 0.5000 0.5000 0.5000
```

Top 8 peaks for 15° ≤ 2θ ≤ 90°, sorted by position:
(hkl)	Position (°2θ)	intensity
2 1 0	23.24	7
2 2 1	36.36	21
0 0 2	42.14	51
4 0 0	42.29	100
4 0 2	61.23	57
4 4 0	61.35	28
6 2 1	73.46	9
4 4 2	77.23	25



Computed powder diffraction line list of RbV2FeAg2O8 for a wavelength of 1.5418 Å, from DFT lattice parameters and positions (PBE+U).
Neutral-atom scattering factors, no anomalous dispersion.

Crystal structure
```
data_RbV2FeAg2O8
_space_group_name_H-M_alt 'P -3'
_space_group_IT_number 147
_cell_length_a 5.5418
_cell_length_b 5.5418
_cell_length_c 7.5769
_cell_angle_alpha 90.00
_cell_angle_beta 90.00
_cell_angle_gamma 120.00
loop_
_space_group_symop_operation_xyz
'x,y,z'
'-x,-y,-z'
'-y,x-y,z'
'y,-x+y,-z'
'-x+y,-x,z'
'x-y,x,-z'
loop_
_atom_site_label
_atom_site_type_symbol
_atom_site_fract_x
_atom_site_fract_y
_atom_site_fract_z
Rb1 Rb 0.0000 0.0000 0.0000
V1 V 0.3333 0.6667 0.7295
Fe1 Fe 0.0000 0.0000 0.5000
Ag1 Ag 0.3333 0.6667 0.2659
O1 O 0.0765 0.7465 0.6567
O2 O 0.3333 0.6667 0.9526
```

Top 8 peaks for 15° ≤ 2θ ≤ 90°, sorted by position:
(hkl)	Position (°2θ)	intensity
1 0 2	30.05	93
1 1 0	32.31	100
2 -1 2	40.34	19
0 2 2	44.70	36
2 1 2	56.22	31
3 0 0	57.62	23
2 -1 4	59.08	34
3 0 4	78.24	18



Computed powder diffraction line list of Li4Mn3V2Fe3O16 for a wavelength of 1.5418 Å, from DFT lattice parameters and positions (PBE+U).
Neutral-atom scattering factors, no anomalous dispersion.

Crystal structure
```
data_Li4Mn3V2Fe3O16
_space_group_name_H-M_alt 'P 1'
_space_group_IT_number 1
_cell_length_a 5.8917
_cell_length_b 5.9050
_cell_length_c 9.5149
_cell_angle_alpha 90.86
_cell_angle_beta 90.02
_cell_angle_gamma 119.26
loop_
_space_group_symop_operation_xyz
'x,y,z'
loop_
_atom_site_label
_atom_site_type_symbol
_atom_site_fract_x
_atom_site_fract_y
_atom_site_fract_z
Li1 Li 0.0000 0.0000 0.0000
Li2 Li 0.0025 0.0047 0.4998
Li3 Li 0.3336 0.6875 0.5966
Li4 Li 0.6614 0.3458 0.0962
Mn1 Mn 0.1711 0.8364 0.2803
Mn2 Mn 0.3360 0.1814 0.7812
Mn3 Mn 0.8254 0.6643 0.7783
V1 V 0.3277 0.6705 0.0051
V2 V 0.6712 0.3434 0.5059
Fe1 Fe 0.1696 0.3470 0.2806
Fe2 Fe 0.6608 0.8375 0.2799
Fe3 Fe 0.8269 0.1736 0.7812
O1 O 0.0031 0.0007 0.1879
O2 O 0.0358 0.5360 0.1548
O3 O 0.1509 0.8059 0.9022
O4 O 0.1649 0.3313 0.8992
O5 O 0.3316 0.6821 0.3892
O6 O 0.3356 0.1714 0.3970
O7 O 0.4662 0.9683 0.1525
O8 O 0.4716 0.5308 0.1431
O9 O 0.5154 0.0607 0.6485
O10 O 0.5454 0.5200 0.6439
O11 O 0.6636 0.3526 0.8857
O12 O 0.6657 0.8341 0.8960
O13 O 0.8324 0.1806 0.4015
O14 O 0.8413 0.6718 0.3943
O15 O 0.9602 0.4936 0.6545
O16 O 0.9992 0.9943 0.6886
```

Top 8 peaks for 15° ≤ 2θ ≤ 90°, sorted by position:
(hkl)	Position (°2θ)	intensity
0 0 2	18.65	100
0 1 -1	19.45	26
1 0 -1	19.56	29
1 0 1	19.72	75
1 1 2	35.83	36
0 2 -1	36.00	29
0 2 1	36.29	27
0 2 2	40.06	32